Entry 1:
Computed powder XRD pattern of Ce3Pm2S8 for Cu Kα (weighted mean of Kα1 and Kα2), from a structure optimized by DFT (PBE).

Cell: 8.183 8.183 6.878 Å, 107.80 107.80 59.80°
Fractional coordinates of all 13 atoms:
Ce  0.000  0.000  0.000
Ce  0.262  0.738  0.500
Ce  0.738  0.262  0.500
Pm  0.268  0.268  0.844
Pm  0.732  0.732  0.156
S  0.101  0.646  0.087
S  0.115  0.115  0.431
S  0.354  0.899  0.913
S  0.390  0.390  0.603
S  0.610  0.610  0.397
S  0.646  0.101  0.087
S  0.885  0.885  0.569
S  0.899  0.354  0.913

Most intense lines, 15 to 90 degrees two-theta, sorted by position:
d/Å, Rel. int.
5.742, 41.4
4.340, 100.0
3.908, 83.0
3.475, 55.6
3.445, 40.6
3.323, 85.1
2.654, 81.9
2.226, 38.8
2.192, 72.9
1.998, 74.3

---

Entry 2:
Computed powder XRD pattern of Na4Tl6Sn for Cu Kα (weighted mean of Kα1 and Kα2), from a structure optimized by DFT (PBE).

Cell: 9.434 9.384 6.446 Å, 70.39 69.55 40.06°
Fractional coordinates of all 11 atoms:
Na  0.141  0.541  0.859
Na  0.196  0.804  0.196
Na  0.541  0.141  0.459
Na  0.804  0.196  0.804
Tl  0.167  0.167  0.333
Tl  0.353  0.721  0.647
Tl  0.611  0.993  0.007
Tl  0.667  0.667  0.833
Tl  0.721  0.353  0.279
Tl  0.993  0.611  0.389
Sn  0.173  0.173  0.827

Most intense lines, 15 to 90 degrees two-theta, sorted by position:
d/Å, Rel. int.
4.178, 30.5
4.022, 55.1
3.952, 53.7
3.000, 45.6
2.864, 26.3
2.814, 26.3
2.744, 16.8
2.537, 100.0
2.358, 18.1
2.130, 15.5

---

What is the formula in the first record?
Ce3Pm2S8